This entry pairs a crystal structure of Hg3P2S8 with its calculated powder diffraction line list. Radiation: Cu Kα. Structure: a cell relaxed with GGA-PBE.
Neutral-atom scattering factors, no anomalous dispersion.

Peak list (10 most intense, 10° ≤ 2θ ≤ 90°, by angle)
- 13.89 deg, I = 100, (1 1 1)
- 19.69 deg, I = 91, (2 1 1)
- 24.18 deg, I = 47, (2 2 1)
- 25.51 deg, I = 50, (3 1 0)
- 26.78 deg, I = 39, (3 1 1)
- 27.99 deg, I = 35, (2 2 2)
- 29.16 deg, I = 64, (3 0 2)
- 33.46 deg, I = 70, (4 0 1)
- 37.32 deg, I = 62, (4 2 1)
- 44.97 deg, I = 47, (5 1 2)

a b c (Å): 11.042 11.042 11.042
angles (deg): 90.00 90.00 90.00
Element x y z (fractional)
Hg  0.087  0.280  0.872
Hg  0.128  0.587  0.220
Hg  0.220  0.128  0.587
Hg  0.280  0.872  0.087
Hg  0.372  0.413  0.720
Hg  0.413  0.720  0.372
Hg  0.587  0.220  0.128
Hg  0.628  0.913  0.780
Hg  0.720  0.372  0.413
Hg  0.780  0.628  0.913
Hg  0.872  0.087  0.280
Hg  0.913  0.780  0.628
P  0.086  0.414  0.586
P  0.134  0.866  0.366
P  0.366  0.134  0.866
P  0.414  0.586  0.086
P  0.586  0.086  0.414
P  0.634  0.634  0.634
P  0.866  0.366  0.134
P  0.914  0.914  0.914
S  0.013  0.772  0.258
S  0.018  0.018  0.018
S  0.025  0.793  0.817
S  0.026  0.974  0.474
S  0.183  0.525  0.707
S  0.207  0.317  0.475
S  0.228  0.758  0.487
S  0.242  0.987  0.272
S  0.258  0.013  0.772
S  0.272  0.242  0.987
S  0.293  0.683  0.975
S  0.317  0.475  0.207
S  0.474  0.026  0.974
S  0.475  0.207  0.317
S  0.482  0.982  0.518
S  0.487  0.228  0.758
S  0.513  0.728  0.742
S  0.518  0.482  0.982
S  0.525  0.707  0.183
S  0.526  0.526  0.526
S  0.683  0.975  0.293
S  0.707  0.183  0.525
S  0.728  0.742  0.513
S  0.742  0.513  0.728
S  0.758  0.487  0.228
S  0.772  0.258  0.013
S  0.793  0.817  0.025
S  0.817  0.025  0.793
S  0.974  0.474  0.026
S  0.975  0.293  0.683
S  0.982  0.518  0.482
S  0.987  0.272  0.242